The following is a simulated X-ray powder pattern of AcCeSi2. It was derived from a structure optimized by DFT (PBE), using CuKα.

Peak list (10 most intense, 10 to 80 degrees two-theta, low angle first)
d [Å]	two_theta	I_rel
3.469	25.7	39
3.366	26.5	49
3.125	28.6	100
2.909	30.7	72
2.881	31.0	87
2.628	34.1	45
2.551	35.2	46
2.343	38.4	41
1.840	49.5	47
1.651	55.7	43

Cell and atoms:
Lattice parameters (Å, degrees): 4.026 6.133 8.415 90.00 90.00 90.00
Sites, in units of the cell vectors:
Ac: 0.000 0.127 0.000
Ac: 0.000 0.873 0.500
Ce: 0.500 0.365 0.360
Ce: 0.500 0.635 0.860
Si: 0.000 0.388 0.643
Si: 0.000 0.612 0.143
Si: 0.500 0.163 0.709
Si: 0.500 0.837 0.209